1.
Theoretical XRD peak list
Compound: Pr3Sm3Ho5
Radiation: Cu Ka
Structure: a crystal structure in Alexandria, relaxed with PBE
Intensities are scaled so that the largest is 100.

Atomic structure:
```
Pr3Sm3Ho5
1.0
9.6480 0.0000 0.0000
-4.8240 8.3554 0.0000
0.0000 0.0000 5.5628
Pr Sm Ho
3 3 5
direct
0.0000 0.3662 0.0000 Pr
0.3662 0.0000 0.0000 Pr
0.6338 0.6338 0.0000 Pr
0.0000 0.5368 0.5000 Sm
0.4632 0.4632 0.5000 Sm
0.5368 0.0000 0.5000 Sm
0.0000 0.7306 0.0000 Ho
0.2694 0.2694 0.0000 Ho
0.3333 0.6667 0.0000 Ho
0.6667 0.3333 0.0000 Ho
0.7306 0.0000 0.0000 Ho
```

Most intense lines, 10° ≤ 2θ ≤ 80°, low angle first:
- 10.59 deg, intensity 40
- 15.93 deg, intensity 65
- 26.69 deg, intensity 71
- 28.26 deg, intensity 37
- 32.16 deg, intensity 100
- 32.60 deg, intensity 64
- 36.06 deg, intensity 94
- 43.34 deg, intensity 29
- 46.12 deg, intensity 34
- 59.90 deg, intensity 40



2.
Theoretical XRD peak list
Compound: Pr7Sm3Ho
Radiation: Cu Ka
Structure: a crystal structure in Alexandria, relaxed with PBE
Intensities are scaled so that the largest is 100.

Atomic structure:
```
Pr7Sm3Ho
1.0
9.4454 -3.5881 0.0000
9.4454 3.5881 0.0000
-5.2259 0.0000 11.7608
Pr Sm Ho
14 6 2
direct
0.0725 0.5926 0.4710 Pr
0.0745 0.5850 0.9647 Pr
0.1472 0.8528 0.7500 Pr
0.3381 0.3907 0.2243 Pr
0.3907 0.3381 0.7243 Pr
0.4074 0.9275 0.0290 Pr
0.4150 0.9255 0.5353 Pr
0.5850 0.0745 0.4647 Pr
0.5926 0.0725 0.9710 Pr
0.6093 0.6619 0.2757 Pr
0.6619 0.6093 0.7757 Pr
0.8528 0.1472 0.2500 Pr
0.9255 0.4150 0.0353 Pr
0.9275 0.4074 0.5290 Pr
0.1704 0.1889 0.2734 Sm
0.1889 0.1704 0.7734 Sm
0.5000 0.5000 0.0000 Sm
0.5000 0.5000 0.5000 Sm
0.8111 0.8296 0.2266 Sm
0.8296 0.8111 0.7266 Sm
0.0000 0.0000 0.0000 Ho
0.0000 0.0000 0.5000 Ho
```

Most intense lines, 10° ≤ 2θ ≤ 80°, low angle first:
- 27.80 deg, intensity 26
- 28.79 deg, intensity 23
- 29.16 deg, intensity 45
- 30.40 deg, intensity 71
- 31.08 deg, intensity 74
- 32.06 deg, intensity 100
- 33.04 deg, intensity 90
- 33.59 deg, intensity 38
- 49.56 deg, intensity 39
- 58.31 deg, intensity 26



Which formula does entry 2 have?
Pr7Sm3Ho